# CaSiWO6
Simulated powder diffraction line list, Cu Kα (weighted mean of Kα1 and Kα2). Input: a PBE+U-relaxed structure.
Neutral-atom scattering factors, no anomalous dispersion.

Peak list (6 most intense, 10° ≤ 2θ ≤ 90°, in order of rising 2θ)
- 5.072 Å, I 77
- 3.985 Å, I 100
- 3.295 Å, I 96
- 2.666 Å, I 42
- 2.244 Å, I 42
- 1.781 Å, I 58

Cell: 5.004 5.004 10.143 Å, 90.00 90.00 120.00°
Positions (direct):
Ca: 0.000 0.000 0.000
Ca: 0.000 0.000 0.500
Si: 0.333 0.667 0.250
Si: 0.667 0.333 0.750
W: 0.333 0.667 0.750
W: 0.667 0.333 0.250
O: 0.021 0.387 0.148
O: 0.021 0.634 0.352
O: 0.366 0.387 0.352
O: 0.366 0.979 0.148
O: 0.387 0.021 0.648
O: 0.387 0.366 0.852
O: 0.613 0.634 0.148
O: 0.613 0.979 0.352
O: 0.634 0.021 0.852
O: 0.634 0.613 0.648
O: 0.979 0.366 0.648
O: 0.979 0.613 0.852